Starting from DFT lattice parameters and positions (PBE+U), the powder XRD pattern of BaCoOs2O8 was simulated for a wavelength of 1.5418 Å.
Lines closer than 0.1° are merged.

Structural model:
```
data_BaCoOs2O8
_space_group_name_H-M_alt 'P -3'
_space_group_IT_number 147
_space_group_name_Hall '-P 3'
_cell_length_a 5.6087
_cell_length_b 5.6087
_cell_length_c 7.4431
_cell_angle_alpha 90.00
_cell_angle_beta 90.00
_cell_angle_gamma 120.00
loop_
_atom_site_label
_atom_site_type_symbol
_atom_site_fract_x
_atom_site_fract_y
_atom_site_fract_z
_atom_site_occupancy
Ba1 Ba 0.0000 0.0000 0.0000 1
Co1 Co 0.0000 0.0000 0.5000 1
Os1 Os 0.3333 0.6667 0.7280 1
O1 O 0.0723 0.3152 0.6762 1
O2 O 0.3333 0.6667 0.9720 1
```

The 10 most intense peaks (2θ = 10–90°), most intense first:
hkl, 2θ (°), I_rel
1 0 1, 21.85, 1000
1 1 0, 31.91, 502
0 1 2, 30.25, 473
2 1 1, 51.25, 208
2 0 2, 44.55, 184
3 -2 2, 55.84, 183
0 2 1, 39.01, 161
1 1 4, 59.63, 158
1 0 3, 40.84, 134
3 0 0, 56.87, 120